[1]
Zr8AgPd3: calculated X-ray powder pattern (CuKα), based on a structure optimized by DFT (PBE).

Principal peaks in the range 2θ from 10° to 90°, most intense first:
two_theta  d_spacing  intensity
36.2  2.480  1000
38.3  2.353  439
67.8  1.382  302
63.8  1.459  169
55.2  1.664  147
76.9  1.240  97
49.0  1.860  96
83.1  1.162  70
81.9  1.176  45
15.9  5.581  24

Atomic structure:
Unit cell a=3.3272 b=3.3272 c=22.3248 alpha=90.00 beta=90.00 gamma=90.00
Element x y z (fractional)
Zr 0.0000 0.0000 0.0783
Zr 0.0000 0.0000 0.4155
Zr 0.0000 0.0000 0.5845
Zr 0.0000 0.0000 0.9217
Zr 0.5000 0.5000 0.1708
Zr 0.5000 0.5000 0.3250
Zr 0.5000 0.5000 0.6750
Zr 0.5000 0.5000 0.8292
Ag 0.5000 0.5000 0.5000
Pd 0.0000 0.0000 0.2494
Pd 0.0000 0.0000 0.7506
Pd 0.5000 0.5000 0.0000

=====

[2]
Pm3Ag: calculated X-ray powder pattern (CuKα), based on a structure optimized by DFT (PBE).

Principal peaks in the range 2θ from 10° to 90°, most intense first:
two_theta  d_spacing  intensity
31.7  2.823  1000
37.7  2.386  312
64.3  1.448  257
52.3  1.751  242
34.8  2.577  194
85.7  1.134  177
60.5  1.531  155
66.2  1.412  118
54.4  1.687  107
89.1  1.099  55

Atomic structure:
Unit cell a=6.1601 b=6.1601 c=6.1601 alpha=134.42 beta=134.42 gamma=66.43
Element x y z (fractional)
Pm 0.0000 0.0000 0.0000
Pm 0.2500 0.7500 0.5000
Pm 0.7500 0.2500 0.5000
Ag 0.5000 0.5000 0.0000

=====

[3]
PmAg3: calculated X-ray powder pattern (CuKα), based on a structure optimized by DFT (PBE).

Principal peaks in the range 2θ from 10° to 90°, most intense first:
two_theta  d_spacing  intensity
36.8  2.445  1000
31.6  2.829  250
37.0  2.429  228
69.3  1.355  178
56.3  1.633  169
66.5  1.405  166
49.5  1.843  138
69.2  1.358  126
24.1  3.686  43
42.3  2.138  32

Atomic structure:
Unit cell a=6.5331 b=6.5331 c=4.8577 alpha=90.00 beta=90.00 gamma=120.00
Element x y z (fractional)
Pm 0.3333 0.6667 0.2500
Pm 0.6667 0.3333 0.7500
Ag 0.1520 0.3040 0.7500
Ag 0.1520 0.8480 0.7500
Ag 0.3040 0.1520 0.2500
Ag 0.6960 0.8480 0.7500
Ag 0.8480 0.1520 0.2500
Ag 0.8480 0.6960 0.2500

=====

[4]
PmAg3: calculated X-ray powder pattern (CuKα), based on a structure optimized by DFT (PBE).

Principal peaks in the range 2θ from 10° to 90°, most intense first:
two_theta  d_spacing  intensity
36.0  2.497  1000
64.6  1.442  341
51.8  1.766  171
87.3  1.117  152
76.3  1.249  105
21.8  4.078  12
42.4  2.130  7
25.2  3.532  6

Atomic structure:
Unit cell a=4.9946 b=4.9946 c=4.9946 alpha=60.00 beta=60.00 gamma=60.00
Element x y z (fractional)
Pm 0.0000 0.0000 0.0000
Ag 0.2500 0.2500 0.2500
Ag 0.5000 0.5000 0.5000
Ag 0.7500 0.7500 0.7500

=====

[5]
Pm3Ag: calculated X-ray powder pattern (CuKα), based on a structure optimized by DFT (PBE).

Principal peaks in the range 2θ from 10° to 90°, most intense first:
two_theta  d_spacing  intensity
33.6  2.664  1000
29.3  3.053  241
32.9  2.725  240
62.8  1.480  210
51.9  1.763  199
59.2  1.561  194
44.6  2.033  153
63.3  1.470  152
86.1  1.129  125
82.5  1.169  72

Atomic structure:
Unit cell a=7.0511 b=7.0511 c=5.4491 alpha=90.00 beta=90.00 gamma=120.00
Element x y z (fractional)
Pm 0.1742 0.3484 0.2500
Pm 0.1742 0.8258 0.2500
Pm 0.3484 0.1742 0.7500
Pm 0.6516 0.8258 0.2500
Pm 0.8258 0.1742 0.7500
Pm 0.8258 0.6516 0.7500
Ag 0.3333 0.6667 0.7500
Ag 0.6667 0.3333 0.2500

=====

[6]
PmAg2Sn: calculated X-ray powder pattern (CuKα), based on a structure optimized by DFT (PBE).

Principal peaks in the range 2θ from 10° to 90°, most intense first:
two_theta  d_spacing  intensity
35.6  2.523  1000
63.9  1.457  355
51.2  1.784  174
86.2  1.128  160
75.3  1.261  110
25.0  3.568  9
21.6  4.120  7
57.8  1.596  6

Atomic structure:
Unit cell a=5.0455 b=5.0455 c=5.0455 alpha=60.00 beta=60.00 gamma=60.00
Element x y z (fractional)
Pm 0.0000 0.0000 0.0000
Ag 0.2500 0.2500 0.2500
Ag 0.7500 0.7500 0.7500
Sn 0.5000 0.5000 0.5000

=====

[7]
PmZn2Ag: calculated X-ray powder pattern (CuKα), based on a structure optimized by DFT (PBE).

Principal peaks in the range 2θ from 10° to 90°, most intense first:
two_theta  d_spacing  intensity
37.2  2.414  1000
67.2  1.394  336
53.7  1.707  169
26.1  3.414  106
79.4  1.207  104
60.7  1.527  41
46.1  1.971  30
85.3  1.138  21
22.6  3.942  17
44.0  2.059  10

Atomic structure:
Unit cell a=4.8279 b=4.8279 c=4.8279 alpha=60.00 beta=60.00 gamma=60.00
Element x y z (fractional)
Pm 0.0000 0.0000 0.0000
Zn 0.2500 0.2500 0.2500
Zn 0.7500 0.7500 0.7500
Ag 0.5000 0.5000 0.5000

=====

[8]
PmZnAg2: calculated X-ray powder pattern (CuKα), based on a structure optimized by DFT (PBE).

Principal peaks in the range 2θ from 10° to 90°, most intense first:
two_theta  d_spacing  intensity
36.4  2.470  1000
65.5  1.426  340
52.4  1.746  170
88.5  1.104  152
77.3  1.235  104
22.0  4.033  69
42.9  2.106  37
57.5  1.602  16
81.5  1.181  13
70.0  1.344  12

Atomic structure:
Unit cell a=4.9392 b=4.9392 c=4.9392 alpha=60.00 beta=60.00 gamma=60.00
Element x y z (fractional)
Pm 0.0000 0.0000 0.0000
Zn 0.5000 0.5000 0.5000
Ag 0.2500 0.2500 0.2500
Ag 0.7500 0.7500 0.7500

=====

[9]
Pr3Ag: calculated X-ray powder pattern (CuKα), based on a structure optimized by DFT (PBE).

Principal peaks in the range 2θ from 10° to 90°, most intense first:
two_theta  d_spacing  intensity
33.0  2.716  1000
28.4  3.144  248
33.3  2.694  222
61.6  1.505  208
50.3  1.815  193
59.2  1.560  183
61.4  1.509  155
44.3  2.046  147
83.3  1.160  122
81.3  1.183  69

Atomic structure:
Unit cell a=7.2610 b=7.2610 c=5.3885 alpha=90.00 beta=90.00 gamma=120.00
Element x y z (fractional)
Pr 0.1756 0.3512 0.2500
Pr 0.1756 0.8244 0.2500
Pr 0.3512 0.1756 0.7500
Pr 0.6488 0.8244 0.2500
Pr 0.8244 0.1756 0.7500
Pr 0.8244 0.6488 0.7500
Ag 0.3333 0.6667 0.7500
Ag 0.6667 0.3333 0.2500

=====

[10]
Pr3Ag: calculated X-ray powder pattern (CuKα), based on a structure optimized by DFT (PBE).

Principal peaks in the range 2θ from 10° to 90°, most intense first:
two_theta  d_spacing  intensity
31.2  2.865  1000
37.1  2.421  313
63.3  1.469  258
51.4  1.777  244
34.3  2.617  195
84.1  1.151  176
59.5  1.554  156
65.1  1.432  118
53.5  1.712  108
87.5  1.115  54

Atomic structure:
Unit cell a=6.2542 b=6.2542 c=6.2542 alpha=134.46 beta=134.46 gamma=66.37
Element x y z (fractional)
Pr 0.0000 0.0000 0.0000
Pr 0.2500 0.7500 0.5000
Pr 0.7500 0.2500 0.5000
Ag 0.5000 0.5000 0.0000

=====

[11]
PrAg: calculated X-ray powder pattern (CuKα), based on a structure optimized by DFT (PBE).

Principal peaks in the range 2θ from 10° to 90°, most intense first:
two_theta  d_spacing  intensity
33.4  2.684  1000
59.7  1.550  363
47.9  1.898  178
79.9  1.201  155
70.1  1.342  111
89.4  1.096  40
23.4  3.796  16
54.0  1.698  8
41.2  2.192  5

Atomic structure:
Unit cell a=3.7964 b=3.7964 c=3.7964 alpha=90.00 beta=90.00 gamma=90.00
Element x y z (fractional)
Pr 0.0000 0.0000 0.0000
Ag 0.5000 0.5000 0.5000

=====

[12]
Pr2AgRu: calculated X-ray powder pattern (CuKα), based on a structure optimized by DFT (PBE).

Principal peaks in the range 2θ from 10° to 90°, most intense first:
two_theta  d_spacing  intensity
34.8  2.581  1000
62.3  1.490  358
50.0  1.825  176
83.8  1.154  156
73.4  1.291  110
24.4  3.651  22
56.4  1.633  10
42.9  2.108  7
78.6  1.217  5

Atomic structure:
Unit cell a=5.1627 b=5.1627 c=5.1627 alpha=60.00 beta=60.00 gamma=60.00
Element x y z (fractional)
Pr 0.2500 0.2500 0.2500
Pr 0.7500 0.7500 0.7500
Ag 0.0000 0.0000 0.0000
Ru 0.5000 0.5000 0.5000

=====

[13]
Pr5AgS8: calculated X-ray powder pattern (CuKα), based on a structure optimized by DFT (PBE).

Principal peaks in the range 2θ from 10° to 90°, most intense first:
two_theta  d_spacing  intensity
32.9  2.725  1000
25.3  3.523  946
39.1  2.306  566
25.1  3.541  542
32.6  2.750  460
38.9  2.318  322
49.4  1.844  285
66.9  1.398  255
54.3  1.690  216
46.8  1.942  213

Atomic structure:
Unit cell a=7.4861 b=7.4861 c=7.4861 alpha=109.75 beta=109.75 gamma=108.91
Element x y z (fractional)
Pr 0.0000 0.0000 0.0000
Pr 0.1328 0.5141 0.8839
Pr 0.4859 0.3697 0.6187
Pr 0.6303 0.2489 0.1161
Pr 0.7511 0.8672 0.3813
Ag 0.2500 0.7500 0.5000
S 0.0123 0.2524 0.3953
S 0.2264 0.1171 0.7514
S 0.3657 0.4750 0.2486
S 0.3830 0.9877 0.2402
S 0.5250 0.7736 0.8906
S 0.7476 0.1429 0.7598
S 0.8571 0.6170 0.6047
S 0.8829 0.6343 0.1094

=====

[14]
PrAgSb2: calculated X-ray powder pattern (CuKα), based on a structure optimized by DFT (PBE).

Principal peaks in the range 2θ from 10° to 90°, most intense first:
two_theta  d_spacing  intensity
33.1  2.707  1000
40.8  2.213  349
69.4  1.354  287
53.6  1.711  137
33.2  2.697  137
26.0  3.421  136
59.0  1.565  115
46.8  1.940  90
39.1  2.303  80
32.1  2.791  79

Atomic structure:
Unit cell a=4.4256 b=4.4256 c=10.7888 alpha=90.00 beta=90.00 gamma=90.00
Element x y z (fractional)
Pr 0.2500 0.2500 0.2376
Pr 0.7500 0.7500 0.7624
Ag 0.2500 0.7500 0.5000
Ag 0.7500 0.2500 0.5000
Sb 0.2500 0.2500 0.6747
Sb 0.2500 0.7500 0.0000
Sb 0.7500 0.2500 0.0000
Sb 0.7500 0.7500 0.3253

=====

[15]
Pr4Ag2Se7: calculated X-ray powder pattern (CuKα), based on a structure optimized by DFT (PBE).

Principal peaks in the range 2θ from 10° to 90°, most intense first:
two_theta  d_spacing  intensity
31.9  2.804  1000
31.3  2.861  558
31.7  2.820  541
38.4  2.342  526
32.2  2.778  436
24.9  3.576  434
32.3  2.769  382
38.3  2.351  273
37.5  2.399  255
24.2  3.685  251

Atomic structure:
Unit cell a=7.5642 b=12.3888 c=7.8846 alpha=90.00 beta=108.90 gamma=90.00
Element x y z (fractional)
Pr 0.0000 0.0622 0.0000
Pr 0.0000 0.9378 0.5000
Pr 0.4293 0.1487 0.7930
Pr 0.4293 0.8513 0.2930
Pr 0.6191 0.2045 0.3520
Pr 0.6191 0.7955 0.8520
Pr 0.9266 0.3723 0.8016
Pr 0.9266 0.6277 0.3016
Ag 0.1333 0.3151 0.3724
Ag 0.1333 0.6849 0.8724
Ag 0.5361 0.4421 0.0020
Ag 0.5361 0.5579 0.5020
Se 0.0075 0.1692 0.6357
Se 0.0075 0.8308 0.1357
Se 0.2724 0.0680 0.3727
Se 0.2724 0.9320 0.8727
Se 0.2925 0.2899 0.0504
Se 0.2925 0.7101 0.5504
Se 0.4858 0.3489 0.6006
Se 0.4858 0.6511 0.1006
Se 0.6816 0.0040 0.1659
Se 0.6816 0.9960 0.6659
Se 0.7848 0.2528 0.0460
Se 0.7848 0.7472 0.5460
Se 0.8410 0.4221 0.4173
Se 0.8410 0.5779 0.9173